Record 1
Diffraction record for Sr2GeSbTe5. The powder diffraction line list is simulated, not measured: it uses a cell relaxed with PBE and λ = 1.5418 Å (Cu Kα).

Structure:
```
Sr2GeSbTe5
1.0
2.3180 -10.0432 0.0000
2.3180 10.0432 0.0000
0.0000 0.0000 13.2633
Sr Ge Sb Te
4 2 2 10
direct
0.1119 0.8881 0.5000
0.1218 0.8782 0.1298
0.8782 0.1218 0.6298
0.8881 0.1119 0.0000
0.4362 0.5638 0.2658
0.5638 0.4362 0.7658
0.2130 0.7870 0.8454
0.7870 0.2130 0.3454
0.0476 0.9524 0.8734
0.2800 0.7200 0.4988
0.3120 0.6880 0.1828
0.3575 0.6425 0.8175
0.5004 0.4996 0.0888
0.4996 0.5004 0.5888
0.6425 0.3575 0.3175
0.6880 0.3120 0.6828
0.7200 0.2800 0.9988
0.9524 0.0476 0.3734
```

Peak list (10 most intense, 2θ from 5° to 70°, in order of rising 2θ)
2θ (°), intensity
23.83, 19
26.87, 21
26.98, 16
27.48, 52
28.24, 100
29.42, 14
32.43, 50
38.85, 33
46.19, 21
48.24, 22

Record 2
Diffraction record for Er2C3. The powder diffraction line list is simulated, not measured: it uses a cell relaxed with PBE and λ = 1.5418 Å (Cu Kα).

Structure:
```
Er2C3
1.0
-4.0714 4.0714 4.0714
4.0714 -4.0714 4.0714
4.0714 4.0714 -4.0714
Er C
8 12
direct
0.0000 0.3994 0.5000
0.0000 0.8994 0.5000
0.1006 0.1006 0.1006
0.3994 0.5000 0.0000
0.5000 0.0000 0.3994
0.5000 0.0000 0.8994
0.6006 0.6006 0.6006
0.8994 0.5000 0.0000
0.0425 0.7500 0.7925
0.2075 0.7500 0.9575
0.2500 0.5425 0.2925
0.2500 0.7075 0.4575
0.2925 0.2500 0.5425
0.4575 0.2500 0.7075
0.5425 0.2925 0.2500
0.7075 0.4575 0.2500
0.7500 0.7925 0.0425
0.7500 0.9575 0.2075
0.7925 0.0425 0.7500
0.9575 0.2075 0.7500
```

Peak list (10 most intense, 2θ from 5° to 70°, in order of rising 2θ)
2θ (°), intensity
26.82, 47
31.06, 100
34.84, 96
41.49, 49
44.51, 7
52.73, 28
55.27, 15
57.73, 63
62.47, 28
67.02, 5

Record 3
Diffraction record for Cs3In4Bi2Au2. The powder diffraction line list is simulated, not measured: it uses a cell relaxed with PBE and λ = 1.5418 Å (Cu Kα).

Structure:
```
Cs3In4Bi2Au2
1.0
4.8753 0.0000 0.0000
-2.4376 4.2221 0.0000
0.0000 0.0000 21.6456
Cs In Bi Au
3 4 2 2
direct
0.0000 0.0000 0.0000
0.0000 0.0000 0.3041
0.0000 0.0000 0.6959
0.3333 0.6667 0.4444
0.3333 0.6667 0.8758
0.6667 0.3333 0.1242
0.6667 0.3333 0.5556
0.3333 0.6667 0.1713
0.6667 0.3333 0.8288
0.3333 0.6667 0.5747
0.6667 0.3333 0.4253
```

Peak list (10 most intense, 2θ from 5° to 70°, in order of rising 2θ)
2θ (°), intensity
12.27, 19
24.43, 100
26.78, 27
28.87, 23
36.00, 26
36.87, 74
44.73, 20
47.19, 26
47.49, 36
59.31, 17

Record 4
Diffraction record for La3Pm2Rh3. The powder diffraction line list is simulated, not measured: it uses a cell relaxed with PBE and λ = 1.5418 Å (Cu Kα).

Structure:
```
La3Pm2Rh3
1.0
5.8494 0.0000 0.0000
1.8489 5.6619 0.0000
0.0861 0.2459 14.0904
La Pm Rh
6 4 6
direct
0.0000 0.0000 0.0000
0.0030 0.0078 0.7354
0.0717 0.7643 0.4941
0.3650 0.3296 0.8658
0.4370 0.1383 0.1930
0.7050 0.4234 0.3676
0.0632 0.7242 0.2299
0.4420 0.1680 0.5555
0.6282 0.5879 0.0492
0.6346 0.6031 0.6848
0.1609 0.4975 0.0511
0.1613 0.5250 0.6815
0.2254 0.3584 0.3731
0.8472 0.3940 0.8677
0.9086 0.2335 0.1847
0.9130 0.2513 0.5526
```

Peak list (10 most intense, 2θ from 5° to 70°, in order of rising 2θ)
2θ (°), intensity
15.65, 41
24.84, 24
30.08, 48
31.14, 100
36.54, 22
36.79, 42
37.38, 22
37.61, 67
38.33, 39
41.37, 29